Computed XRD peak list
Compound: B7C5
Radiation: Cu Kα
Structure: a DFT-relaxed cell (PBE, Alexandria)
Intensities are scaled so that the largest is 100.

Principal peaks in the range 2θ from 15° to 90°, low angle first:
- 19.68 deg, intensity 10
- 42.04 deg, intensity 100
- 45.79 deg, intensity 4
- 63.90 deg, intensity 3
- 67.31 deg, intensity 3
- 68.38 deg, intensity 26
- 73.49 deg, intensity 3
- 74.02 deg, intensity 7
- 78.21 deg, intensity 12
- 79.24 deg, intensity 2

Atomic structure:
Cell: 2.444 2.444 13.533 Å, 90.00 90.00 90.00°
Fractional positions:
B 0.000 0.000 0.000
B 0.000 0.000 0.322
B 0.000 0.000 0.678
B 0.000 0.500 0.226
B 0.000 0.500 0.578
B 0.500 0.000 0.422
B 0.500 0.000 0.774
C 0.000 0.500 0.918
C 0.500 0.000 0.082
C 0.500 0.500 0.144
C 0.500 0.500 0.500
C 0.500 0.500 0.856

***

Computed XRD peak list
Compound: SbTeF3
Radiation: Cu Kα
Structure: a DFT-relaxed cell (PBE, Alexandria)
Intensities are scaled so that the largest is 100.

Principal peaks in the range 2θ from 15° to 90°, low angle first:
- 20.51 deg, intensity 59
- 23.64 deg, intensity 100
- 25.17 deg, intensity 32
- 25.92 deg, intensity 38
- 27.56 deg, intensity 58
- 27.75 deg, intensity 45
- 31.97 deg, intensity 26
- 34.55 deg, intensity 25
- 37.30 deg, intensity 49
- 42.03 deg, intensity 41

Atomic structure:
Cell: 6.618 4.402 7.467 Å, 90.00 103.69 90.00°
Fractional positions:
Sb 0.080 0.000 0.286
Sb 0.920 0.500 0.714
Te 0.470 0.663 0.878
Te 0.530 0.163 0.122
F 0.059 0.658 0.111
F 0.105 0.236 0.598
F 0.319 0.788 0.440
F 0.681 0.288 0.560
F 0.895 0.736 0.402
F 0.941 0.158 0.889

***

Computed XRD peak list
Compound: BaInGaF6
Radiation: Cu Kα
Structure: a DFT-relaxed cell (PBE, Alexandria)
Intensities are scaled so that the largest is 100.

Principal peaks in the range 2θ from 15° to 90°, low angle first:
- 25.62 deg, intensity 100
- 30.68 deg, intensity 59
- 40.39 deg, intensity 70
- 41.69 deg, intensity 19
- 49.20 deg, intensity 13
- 51.56 deg, intensity 28
- 52.64 deg, intensity 16
- 62.17 deg, intensity 13
- 63.89 deg, intensity 15
- 70.02 deg, intensity 12

Atomic structure:
Cell: 5.828 5.828 4.798 Å, 90.00 90.00 120.00°
Fractional positions:
Ba 0.000 0.000 0.000
In 0.667 0.333 0.465
Ga 0.333 0.667 0.671
F 0.018 0.508 0.901
F 0.169 0.829 0.464
F 0.171 0.339 0.464
F 0.489 0.982 0.901
F 0.492 0.511 0.901
F 0.661 0.831 0.464

***

Computed XRD peak list
Compound: PmNd2Ho3
Radiation: Cu Kα
Structure: a DFT-relaxed cell (PBE, Alexandria)
Intensities are scaled so that the largest is 100.

Principal peaks in the range 2θ from 15° to 90°, low angle first:
- 30.89 deg, intensity 99
- 31.05 deg, intensity 100
- 31.54 deg, intensity 35
- 32.03 deg, intensity 53
- 43.13 deg, intensity 16
- 45.56 deg, intensity 25
- 54.72 deg, intensity 15
- 56.38 deg, intensity 21
- 56.47 deg, intensity 18
- 64.73 deg, intensity 10

Atomic structure:
Cell: 8.959 8.959 10.163 Å, 122.43 122.43 36.35°
Fractional positions:
Pm 0.135 0.135 0.142
Pm 0.865 0.865 0.858
Nd 0.226 0.226 0.869
Nd 0.486 0.486 0.138
Nd 0.514 0.514 0.862
Nd 0.774 0.774 0.131
Ho 0.051 0.051 0.399
Ho 0.295 0.295 0.578
Ho 0.388 0.388 0.347
Ho 0.612 0.612 0.653
Ho 0.705 0.705 0.422
Ho 0.949 0.949 0.601

***

Computed XRD peak list
Compound: Tb2HfFe9
Radiation: Cu Kα
Structure: a DFT-relaxed cell (PBE, Alexandria)
Intensities are scaled so that the largest is 100.

Principal peaks in the range 2θ from 15° to 90°, low angle first:
- 34.47 deg, intensity 82
- 35.92 deg, intensity 58
- 41.72 deg, intensity 14
- 42.10 deg, intensity 37
- 42.44 deg, intensity 100
- 45.09 deg, intensity 15
- 63.64 deg, intensity 28
- 67.49 deg, intensity 20
- 69.04 deg, intensity 22
- 76.16 deg, intensity 21

Atomic structure:
Cell: 5.000 5.000 16.274 Å, 90.00 90.00 120.00°
Fractional positions:
Tb 0.333 0.667 0.039
Tb 0.333 0.667 0.461
Tb 0.667 0.333 0.539
Tb 0.667 0.333 0.961
Hf 0.333 0.667 0.250
Hf 0.667 0.333 0.750
Fe 0.000 0.000 0.000
Fe 0.000 0.000 0.250
Fe 0.000 0.000 0.500
Fe 0.000 0.000 0.750
Fe 0.167 0.333 0.630
Fe 0.167 0.333 0.870
Fe 0.167 0.833 0.630
Fe 0.167 0.833 0.870
Fe 0.333 0.167 0.130
Fe 0.333 0.167 0.370
Fe 0.333 0.667 0.750
Fe 0.667 0.333 0.250
Fe 0.667 0.833 0.630
Fe 0.667 0.833 0.870
Fe 0.833 0.167 0.130
Fe 0.833 0.167 0.370
Fe 0.833 0.667 0.130
Fe 0.833 0.667 0.370

***

Computed XRD peak list
Compound: LiSm2ZrAs4
Radiation: Cu Kα
Structure: a DFT-relaxed cell (PBE, Alexandria)
Intensities are scaled so that the largest is 100.

Principal peaks in the range 2θ from 15° to 90°, low angle first:
- 25.61 deg, intensity 15
- 31.13 deg, intensity 50
- 31.27 deg, intensity 100
- 34.43 deg, intensity 12
- 43.90 deg, intensity 39
- 44.66 deg, intensity 19
- 44.97 deg, intensity 17
- 45.50 deg, intensity 33
- 55.44 deg, intensity 19
- 65.24 deg, intensity 11

Atomic structure:
Cell: 6.867 4.058 7.184 Å, 90.00 109.91 90.00°
Fractional positions:
Li 0.000 0.000 0.000
Sm 0.500 0.000 0.500
Sm 0.500 0.500 0.000
Zr 0.000 0.500 0.500
As 0.228 0.500 0.249
As 0.229 0.000 0.739
As 0.771 0.000 0.261
As 0.772 0.500 0.751

***

Computed XRD peak list
Compound: Y2B5Pd14
Radiation: Cu Kα
Structure: a DFT-relaxed cell (PBE, Alexandria)
Intensities are scaled so that the largest is 100.

Principal peaks in the range 2θ from 15° to 90°, low angle first:
- 32.78 deg, intensity 36
- 35.77 deg, intensity 38
- 37.09 deg, intensity 88
- 38.21 deg, intensity 84
- 40.26 deg, intensity 32
- 41.91 deg, intensity 28
- 42.31 deg, intensity 100
- 43.62 deg, intensity 31
- 68.18 deg, intensity 22
- 73.30 deg, intensity 20

Atomic structure:
Cell: 10.409 10.409 10.409 Å, 133.00 133.00 68.65°
Fractional positions:
Y 0.091 0.341 0.750
Y 0.341 0.091 0.250
Y 0.659 0.909 0.750
Y 0.909 0.659 0.250
B 0.000 0.211 0.211
B 0.000 0.789 0.789
B 0.211 0.000 0.711
B 0.211 0.500 0.211
B 0.375 0.625 0.750
B 0.500 0.211 0.711
B 0.500 0.789 0.289
B 0.625 0.375 0.250
B 0.789 0.000 0.289
B 0.789 0.500 0.789
Pd 0.000 0.500 0.500
Pd 0.014 0.933 0.081
Pd 0.067 0.649 0.081
Pd 0.067 0.986 0.419
Pd 0.188 0.438 0.375
Pd 0.188 0.812 0.750
Pd 0.231 0.267 0.536
Pd 0.231 0.695 0.964
Pd 0.267 0.231 0.036
Pd 0.305 0.769 0.536
Pd 0.351 0.933 0.419
Pd 0.438 0.188 0.875
Pd 0.438 0.562 0.250
Pd 0.500 0.000 0.000
Pd 0.500 0.500 0.000
Pd 0.500 0.500 0.500
Pd 0.562 0.438 0.750
Pd 0.562 0.812 0.125
Pd 0.649 0.067 0.581
Pd 0.695 0.231 0.464
Pd 0.733 0.769 0.964
Pd 0.769 0.305 0.036
Pd 0.769 0.733 0.464
Pd 0.812 0.188 0.250
Pd 0.812 0.562 0.625
Pd 0.933 0.014 0.581
Pd 0.933 0.351 0.919
Pd 0.986 0.067 0.919

***

Computed XRD peak list
Compound: Nd10SmTm6
Radiation: Cu Kα
Structure: a DFT-relaxed cell (PBE, Alexandria)
Intensities are scaled so that the largest is 100.

Principal peaks in the range 2θ from 15° to 90°, low angle first:
- 24.59 deg, intensity 9
- 30.68 deg, intensity 36
- 31.55 deg, intensity 82
- 31.70 deg, intensity 100
- 40.40 deg, intensity 9
- 45.33 deg, intensity 27
- 48.47 deg, intensity 13
- 56.25 deg, intensity 27
- 56.56 deg, intensity 19
- 62.23 deg, intensity 11

Atomic structure:
Cell: 9.824 9.824 6.898 Å, 90.00 90.00 120.00°
Fractional positions:
Nd 0.000 0.278 0.320
Nd 0.000 0.722 0.680
Nd 0.278 0.000 0.320
Nd 0.278 0.278 0.680
Nd 0.333 0.667 0.000
Nd 0.333 0.667 0.500
Nd 0.667 0.333 0.000
Nd 0.667 0.333 0.500
Nd 0.722 0.000 0.680
Nd 0.722 0.722 0.320
Sm 0.000 0.000 0.000
Tm 0.000 0.368 0.815
Tm 0.000 0.632 0.185
Tm 0.368 0.000 0.815
Tm 0.368 0.368 0.185
Tm 0.632 0.000 0.185
Tm 0.632 0.632 0.815